Starting from the PBE+U geometry in Alexandria, the X-ray powder pattern of LiCo2OF3 was simulated for Cu Kα, 1.54184 Å.
Intensities are scaled so that the largest is 100.

Structural model:
```
data_LiCo2OF3
_cell_length_a 5.9357
_cell_length_b 12.4636
_cell_length_c 8.6643
_cell_angle_alpha 90.00
_cell_angle_beta 90.00
_cell_angle_gamma 90.00
_space_group_name_H-M_alt 'I m m 2'
_space_group_IT_number 44
loop_
_space_group_symop_operation_xyz
'x,y,z'
'-x,-y,z'
'-x,y,z'
'x,-y,z'
'x+1/2,y+1/2,z+1/2'
'-x+1/2,-y+1/2,z+1/2'
'-x+1/2,y+1/2,z+1/2'
'x+1/2,-y+1/2,z+1/2'
loop_
_atom_site_label
_atom_site_fract_x
_atom_site_fract_y
_atom_site_fract_z
Li1 0.0000 0.1311 0.0000
Li2 0.0000 0.3647 0.2862
Co1 0.0000 0.0000 0.6645
Co2 0.0000 0.2470 0.6228
Co3 0.0000 0.5000 0.6203
Co4 0.2403 0.1174 0.3874
O1 0.0000 0.0000 0.4303
O2 0.0000 0.2287 0.3997
O3 0.0000 0.5000 0.8569
F1 0.0000 0.0000 0.8930
F2 0.0000 0.2631 0.8681
F3 0.0000 0.5000 0.3939
F4 0.2382 0.3728 0.6341
F5 0.2415 0.1245 0.6476
```

Most intense lines, 10° ≤ 2θ ≤ 90°, by angle:
| 2θ (°) | Rel. int. |
| --- | --- |
| 12.44 | 80 |
| 18.12 | 100 |
| 23.75 | 25 |
| 32.69 | 28 |
| 34.11 | 41 |
| 41.70 | 43 |
| 42.04 | 91 |
| 60.71 | 51 |